Structure and theoretical powder X-ray diffraction pattern of Pm6PrPb4 (DFT lattice parameters and positions (GGA-PBE); CuKα).
Peak positions follow from Bragg's law for the DFT cell and can differ from measured ones.

```
data_Pm6PrPb4
_cell_length_a 9.9100
_cell_length_b 9.9100
_cell_length_c 4.3386
_cell_angle_alpha 90.00
_cell_angle_beta 90.00
_cell_angle_gamma 120.00
_space_group_name_H-M_alt 'P -6 m 2'
_space_group_IT_number 187
_space_group_name_Hall 'P -6 2'
loop_
_atom_site_label
_atom_site_fract_x
_atom_site_fract_y
_atom_site_fract_z
Pm1 0.1970 0.3940 0.0000
Pm2 0.5399 0.0798 0.5000
Pr1 0.0000 0.0000 0.5000
Pb1 0.3302 0.1651 0.0000
Pb2 0.3333 0.6667 0.5000
```

Main lines, low angle first (2θ from 10° to 90°):
hkl 2 0 0, 2θ 20.70, d = 4.291 Å, I 21.3
hkl 1 1 1, 2θ 27.32, d = 3.264 Å, I 51.9
hkl 2 0 1, 2θ 29.27, d = 3.051 Å, I 100.0
hkl 3 0 0, 2θ 31.27, d = 2.861 Å, I 27.4
hkl 2 1 1, 2θ 34.52, d = 2.598 Å, I 81.4
hkl 2 2 0, 2θ 36.26, d = 2.477 Å, I 71.5
hkl 3 0 1, 2θ 37.66, d = 2.388 Å, I 18.9
hkl 0 0 2, 2θ 41.63, d = 2.169 Å, I 28.4
hkl 2 2 2, 2θ 56.37, d = 1.632 Å, I 40.7
hkl 5 0 1, 2θ 57.76, d = 1.596 Å, I 19.4